(1)
Starting from DFT lattice parameters and positions (GGA-PBE), the powder diffraction line list of Na2TmAgSb2 was calculated for Cu Kα (weighted mean of Kα1 and Kα2).
Kinematic intensities with the Lorentz-polarization factor, no thermal factor.

Top 10 peaks for 2θ = 10–90°, most intense first:
2θ/deg  d (Å)  Rel. int.
32.44  2.760  100
35.57  2.524  64
40.01  2.254  42
24.98  3.564  41
30.88  2.895  40
40.92  2.206  36
30.26  2.953  35
58.56  1.576  24
15.22  5.823  24
30.71  2.912  24

Structure:
```
Na2TmAgSb2
1.0
4.507 0.000 0.000
0.000 9.138 0.000
0.000 0.000 7.556
Na Tm Ag Sb
4 2 2 4
Direct
0.000 0.067 0.000 Na
0.000 0.933 0.500 Na
0.500 0.166 0.314 Na
0.500 0.834 0.814 Na
0.500 0.448 0.924 Tm
0.500 0.552 0.424 Tm
0.000 0.318 0.589 Ag
0.000 0.682 0.089 Ag
0.000 0.384 0.208 Sb
0.000 0.616 0.708 Sb
0.500 0.166 0.723 Sb
0.500 0.834 0.223 Sb
```

(2)
Starting from DFT lattice parameters and positions (GGA-PBE), the powder diffraction line list of Sm5Zr3Ni16As12 was calculated for Cu Kα (weighted mean of Kα1 and Kα2).
Kinematic intensities with the Lorentz-polarization factor, no thermal factor.

Top 10 peaks for 2θ = 10–90°, most intense first:
2θ/deg  d (Å)  Rel. int.
35.95  2.498  100
36.88  2.437  64
45.52  1.993  56
33.03  2.712  29
49.21  1.851  29
37.09  2.424  26
69.29  1.356  20
55.34  1.660  20
60.11  1.539  15
40.61  2.222  14

Structure:
```
Sm5Zr3Ni16As12
1.0
12.827 0.000 0.000
-6.414 11.109 0.000
0.000 0.000 3.983
Sm Zr Ni As
5 3 16 12
Direct
0.000 0.813 0.000 Sm
0.187 0.187 0.000 Sm
0.333 0.667 0.500 Sm
0.667 0.333 0.500 Sm
0.813 0.000 0.000 Sm
0.000 0.432 0.500 Zr
0.432 0.000 0.500 Zr
0.568 0.568 0.500 Zr
0.000 0.000 0.500 Ni
0.000 0.275 0.000 Ni
0.120 0.635 0.000 Ni
0.186 0.378 0.500 Ni
0.192 0.814 0.500 Ni
0.275 0.000 0.000 Ni
0.365 0.485 0.000 Ni
0.378 0.186 0.500 Ni
0.485 0.365 0.000 Ni
0.515 0.880 0.000 Ni
0.622 0.808 0.500 Ni
0.635 0.120 0.000 Ni
0.725 0.725 0.000 Ni
0.808 0.622 0.500 Ni
0.814 0.192 0.500 Ni
0.880 0.515 0.000 Ni
0.000 0.179 0.500 As
0.000 0.639 0.500 As
0.172 0.476 0.000 As
0.179 0.000 0.500 As
0.304 0.828 0.000 As
0.361 0.361 0.500 As
0.476 0.172 0.000 As
0.524 0.696 0.000 As
0.639 0.000 0.500 As
0.696 0.524 0.000 As
0.821 0.821 0.500 As
0.828 0.304 0.000 As
```

(3)
Starting from DFT lattice parameters and positions (GGA-PBE), the powder diffraction line list of TbAl5Zn7 was calculated for Cu Kα (weighted mean of Kα1 and Kα2).
Kinematic intensities with the Lorentz-polarization factor, no thermal factor.

Top 10 peaks for 2θ = 10–90°, most intense first:
2θ/deg  d (Å)  Rel. int.
40.19  2.244  100
39.90  2.259  73
32.26  2.775  60
34.03  2.635  55
38.37  2.346  40
34.64  2.590  37
73.04  1.295  28
38.12  2.361  26
27.49  3.244  24
20.22  4.392  23

Structure:
```
TbAl5Zn7
1.0
-2.775 4.490 4.392
2.775 -4.490 4.392
2.775 4.490 -4.392
Tb Al Zn
1 5 7
Direct
0.000 0.000 0.000 Tb
0.216 0.716 0.500 Al
0.500 0.495 0.503 Al
0.500 0.997 0.006 Al
0.992 0.495 0.994 Al
0.992 0.997 0.497 Al
0.213 0.497 0.716 Zn
0.349 0.349 0.000 Zn
0.349 0.995 0.354 Zn
0.640 0.995 0.646 Zn
0.643 0.643 0.000 Zn
0.781 0.497 0.284 Zn
0.783 0.283 0.500 Zn
```